EuTi2CdO6F: calculated powder diffractogram (Cu Kα X-rays), based on DFT lattice parameters and positions (GGA-PBE).

Cell and atoms:
abc: 7.1815 7.4586 10.2254
angles: 90.00 90.00 90.00
Space group Imma (No. 74)
Asymmetric unit:
Eu  0.0000  0.0000  0.0000 (multiplicity 4)
Ti  0.0000  0.0000  0.5000 (multiplicity 4)
Ti  0.2500  0.2500  0.2500 (multiplicity 4)
Cd  0.2500  0.2500  0.7500 (multiplicity 4)
O  0.0000  0.2500  0.1702 (multiplicity 4)
O  0.0000  0.2500  0.5821 (multiplicity 4)
O  0.2028  0.0547  0.3769 (multiplicity 16)
F  0.0000  0.2500  0.8736 (multiplicity 4)

The 10 most intense peaks (2θ = 10–90°), low angle first:
| (hkl) | 2theta | d_spacing | Rel. int. |
| --- | --- | --- | --- |
| 1 0 1 | 15.08 | 5.877 | 31.8 |
| 0 2 2 | 29.65 | 3.013 | 100.0 |
| 2 0 2 | 30.42 | 2.938 | 91.3 |
| 2 2 0 | 34.68 | 2.587 | 34.9 |
| 0 0 4 | 35.10 | 2.556 | 16.2 |
| 1 2 3 | 37.89 | 2.374 | 16.6 |
| 0 4 0 | 48.84 | 1.865 | 16.1 |
| 2 2 4 | 50.17 | 1.818 | 62.0 |
| 2 4 2 | 58.64 | 1.574 | 26.7 |
| 4 2 2 | 59.98 | 1.542 | 25.1 |